Structure and simulated powder X-ray diffraction pattern of LiTlIn2 (a cell relaxed with GGA-PBE; a wavelength of 1.5418 Å).

```
4
Lattice="-1.915 2.615 5.009 1.915 -2.615 5.009 1.915 2.615 -5.009" Properties=species:S:1:pos:R:3 pbc="T T T"
Li 0.000 0.000 0.000
Tl 1.915 0.000 2.333
In 0.000 0.000 5.034
In 0.000 2.615 2.688
```

Most intense lines, 15° ≤ 2θ ≤ 90°, by intensity:
2θ = 34.09°, d = 2.630 Å, I 100
2θ = 34.30°, d = 2.615 Å, I 25
2θ = 17.71°, d = 5.009 Å, I 23
2θ = 63.32°, d = 1.469 Å, I 20
2θ = 35.86°, d = 2.504 Å, I 20
2θ = 61.29°, d = 1.512 Å, I 18
2θ = 31.80°, d = 2.814 Å, I 17
2θ = 24.89°, d = 3.578 Å, I 17
2θ = 28.90°, d = 3.090 Å, I 16
2θ = 50.46°, d = 1.809 Å, I 15
2θ = 19.15°, d = 4.636 Å, I 14
2θ = 59.86°, d = 1.545 Å, I 13

Structure and simulated powder X-ray diffraction pattern of Li3Tl2In (a cell relaxed with GGA-PBE; a wavelength of 1.5418 Å).

```
12
Lattice="4.756 0.000 0.000 0.000 7.282 0.000 -2.341 0.000 7.126" Properties=species:S:1:pos:R:3 pbc="T T T"
Li 0.000 1.776 0.000
Li 0.000 5.505 0.000
Li 0.024 1.824 4.760
Li 0.024 5.457 4.760
Li 2.391 1.824 2.365
Li 2.391 5.457 2.365
Tl 0.012 3.641 2.372
Tl 2.378 0.000 0.000
Tl 2.378 3.641 0.000
Tl 2.402 3.641 4.754
In 0.013 0.000 2.447
In 2.401 0.000 4.678
```

Most intense lines, 15° ≤ 2θ ≤ 90°, by intensity:
2θ = 24.45°, d = 3.641 Å, I 100
2θ = 26.45°, d = 3.370 Å, I 82
2θ = 36.33°, d = 2.473 Å, I 82
2θ = 26.59°, d = 3.352 Å, I 81
2θ = 36.43°, d = 2.466 Å, I 81
2θ = 45.58°, d = 1.990 Å, I 77
2θ = 37.86°, d = 2.377 Å, I 73
2θ = 57.58°, d = 1.601 Å, I 39
2θ = 64.48°, d = 1.445 Å, I 31
2θ = 67.30°, d = 1.391 Å, I 27
2θ = 67.50°, d = 1.388 Å, I 27
2θ = 60.55°, d = 1.529 Å, I 17

Structure and simulated powder X-ray diffraction pattern of Li2Tm2In (a cell relaxed with GGA-PBE; a wavelength of 1.5418 Å).

```
10
Lattice="5.271 -3.228 0.000 5.271 3.228 0.000 -2.739 0.000 7.045" Properties=species:S:1:pos:R:3 pbc="T T T"
Li 2.959 2.346 3.927
Li 3.473 2.346 6.641
Li 4.329 -2.346 0.404
Li 4.843 -2.346 3.118
Tm 0.881 0.533 5.969
Tm 2.251 -0.533 2.447
Tm 5.551 0.533 4.598
Tm 6.921 -0.533 1.076
In 4.586 1.560 1.761
In 3.216 -1.560 5.284
```

Most intense lines, 15° ≤ 2θ ≤ 90°, by intensity:
2θ = 33.06°, d = 2.709 Å, I 100
2θ = 18.62°, d = 4.766 Å, I 53
2θ = 36.22°, d = 2.480 Å, I 44
2θ = 25.26°, d = 3.526 Å, I 41
2θ = 27.34°, d = 3.262 Å, I 41
2θ = 30.61°, d = 2.921 Å, I 38
2θ = 45.99°, d = 1.973 Å, I 35
2θ = 36.93°, d = 2.434 Å, I 33
2θ = 33.21°, d = 2.698 Å, I 33
2θ = 30.46°, d = 2.935 Å, I 32
2θ = 38.65°, d = 2.330 Å, I 29
2θ = 16.43°, d = 5.396 Å, I 27